Diffraction record for Ca16Mg3Sn13. The XRD peak list is computed, not measured: it uses DFT lattice parameters and positions (GGA-PBE) and Cu Kα.

Cell and atoms:
a b c (Å): 17.5304 9.2555 9.2555
angles (deg): 141.86 90.00 90.00
Sites, in units of the cell vectors:
Ca  0.1001  0.1824  0.8168
Ca  0.1001  0.8168  0.1824
Ca  0.1824  0.3993  0.6007
Ca  0.1824  0.6007  0.3993
Ca  0.3166  0.1000  0.8992
Ca  0.3166  0.8992  0.1000
Ca  0.3988  0.3158  0.6819
Ca  0.3988  0.6819  0.3158
Ca  0.6012  0.3158  0.6819
Ca  0.6012  0.6819  0.3158
Ca  0.6834  0.1000  0.8992
Ca  0.6834  0.8992  0.1000
Ca  0.8176  0.3993  0.6007
Ca  0.8176  0.6007  0.3993
Ca  0.8999  0.1824  0.8168
Ca  0.8999  0.8168  0.1824
Mg  0.0000  0.2493  0.2493
Mg  0.0000  0.7498  0.7498
Mg  0.5000  0.2501  0.2501
Sn  0.0000  0.3473  0.6527
Sn  0.0000  0.6527  0.3473
Sn  0.1536  0.0006  0.0006
Sn  0.2504  0.9997  0.4994
Sn  0.2504  0.4994  0.9997
Sn  0.3468  0.4975  0.4975
Sn  0.5000  0.1541  0.8469
Sn  0.5000  0.7486  0.7486
Sn  0.5000  0.8469  0.1541
Sn  0.6532  0.4975  0.4975
Sn  0.7496  0.9997  0.4994
Sn  0.7496  0.4994  0.9997
Sn  0.8464  0.0006  0.0006

Top 10 peaks for 2θ from 15° to 90°, by angle:
- 2θ 21.8, d = 4.084 Å, intensity 90.9
- 2θ 22.7, d = 3.916 Å, intensity 60.2
- 2θ 29.9, d = 2.987 Å, intensity 56.4
- 2θ 32.3, d = 2.769 Å, intensity 88.3
- 2θ 33.0, d = 2.717 Å, intensity 77.6
- 2θ 33.3, d = 2.690 Å, intensity 100.0
- 2θ 41.8, d = 2.163 Å, intensity 56.5
- 2θ 42.0, d = 2.149 Å, intensity 57.7
- 2θ 61.1, d = 1.516 Å, intensity 47.8
- 2θ 62.2, d = 1.493 Å, intensity 42.9



Diffraction record for Ca4MgSn3. The XRD peak list is computed, not measured: it uses DFT lattice parameters and positions (GGA-PBE) and Cu Kα.

Cell and atoms:
a b c (Å): 9.2562 9.2562 9.2562
angles (deg): 96.13 96.13 141.84
Sites, in units of the cell vectors:
Ca  0.0828  0.7828  0.8656
Ca  0.2172  0.0828  0.2999
Ca  0.2828  0.5828  0.8656
Ca  0.4172  0.2828  0.7001
Ca  0.5828  0.7172  0.2999
Ca  0.7172  0.4172  0.1344
Ca  0.7828  0.9172  0.7001
Ca  0.9172  0.2172  0.1344
Mg  0.2500  0.7500  0.5000
Mg  0.7500  0.2500  0.5000
Sn  0.1530  0.3470  0.5000
Sn  0.2500  0.2500  0.0000
Sn  0.3470  0.8470  0.1941
Sn  0.6530  0.1530  0.8059
Sn  0.7500  0.7500  0.0000
Sn  0.8470  0.6530  0.5000

Top 10 peaks for 2θ from 15° to 90°, by angle:
- 2θ 21.8, d = 4.083 Å, intensity 90.0
- 2θ 22.7, d = 3.912 Å, intensity 82.4
- 2θ 29.9, d = 2.985 Å, intensity 57.4
- 2θ 32.4, d = 2.766 Å, intensity 77.6
- 2θ 33.0, d = 2.718 Å, intensity 67.5
- 2θ 33.3, d = 2.688 Å, intensity 100.0
- 2θ 41.8, d = 2.163 Å, intensity 50.7
- 2θ 42.1, d = 2.148 Å, intensity 60.1
- 2θ 43.1, d = 2.100 Å, intensity 48.7
- 2θ 61.2, d = 1.515 Å, intensity 58.7



Diffraction record for CaMgSn. The XRD peak list is computed, not measured: it uses DFT lattice parameters and positions (GGA-PBE) and Cu Kα.

Cell and atoms:
a b c (Å): 7.8812 4.7201 8.8183
angles (deg): 90.00 90.00 90.00
Sites, in units of the cell vectors:
Ca  0.0192  0.2500  0.1841
Ca  0.4808  0.7500  0.6841
Ca  0.5192  0.2500  0.3159
Ca  0.9808  0.7500  0.8159
Mg  0.1444  0.2500  0.5633
Mg  0.3556  0.7500  0.0633
Mg  0.6444  0.2500  0.9367
Mg  0.8556  0.7500  0.4367
Sn  0.2350  0.7500  0.3845
Sn  0.2650  0.2500  0.8845
Sn  0.7350  0.7500  0.1155
Sn  0.7650  0.2500  0.6155

Top 10 peaks for 2θ from 15° to 90°, by angle:
- 2θ 22.6, d = 3.941 Å, intensity 26.8
- 2θ 23.1, d = 3.848 Å, intensity 75.6
- 2θ 24.2, d = 3.680 Å, intensity 71.1
- 2θ 31.3, d = 2.861 Å, intensity 100.0
- 2θ 36.0, d = 2.495 Å, intensity 45.8
- 2θ 37.8, d = 2.379 Å, intensity 27.8
- 2θ 38.1, d = 2.360 Å, intensity 36.9
- 2θ 39.9, d = 2.257 Å, intensity 32.7
- 2θ 40.6, d = 2.221 Å, intensity 28.8
- 2θ 45.1, d = 2.012 Å, intensity 27.3



Diffraction record for SrCaMg6. The XRD peak list is computed, not measured: it uses DFT lattice parameters and positions (GGA-PBE) and Cu Kα.

Cell and atoms:
a b c (Å): 5.3510 7.3361 11.6709
angles (deg): 90.00 90.00 90.00
Sites, in units of the cell vectors:
Sr  0.0000  0.0000  0.0000
Sr  0.0000  0.5000  0.5000
Ca  0.5000  0.0000  0.2901
Ca  0.5000  0.5000  0.7901
Mg  0.0000  0.0000  0.4788
Mg  0.0000  0.2149  0.7334
Mg  0.0000  0.2851  0.2334
Mg  0.0000  0.5000  0.9788
Mg  0.0000  0.7149  0.2334
Mg  0.0000  0.7851  0.7334
Mg  0.5000  0.0000  0.8032
Mg  0.5000  0.2149  0.5561
Mg  0.5000  0.2851  0.0561
Mg  0.5000  0.5000  0.3032
Mg  0.5000  0.7149  0.0561
Mg  0.5000  0.7851  0.5561

Top 10 peaks for 2θ from 15° to 90°, by angle:
- 2θ 21.9, d = 4.054 Å, intensity 26.2
- 2θ 22.5, d = 3.944 Å, intensity 13.6
- 2θ 28.7, d = 3.106 Å, intensity 12.7
- 2θ 30.6, d = 2.918 Å, intensity 21.0
- 2θ 30.9, d = 2.892 Å, intensity 12.4
- 2θ 33.4, d = 2.686 Å, intensity 100.0
- 2θ 33.5, d = 2.676 Å, intensity 30.6
- 2θ 35.0, d = 2.562 Å, intensity 23.8
- 2θ 46.0, d = 1.972 Å, intensity 13.1
- 2θ 59.8, d = 1.547 Å, intensity 17.4



Diffraction record for SrCaMg6. The XRD peak list is computed, not measured: it uses DFT lattice parameters and positions (GGA-PBE) and Cu Kα.

Cell and atoms:
a b c (Å): 5.4241 7.1353 11.8795
angles (deg): 90.00 90.00 90.00
Sites, in units of the cell vectors:
Sr  0.0000  0.0000  0.0000
Sr  0.0000  0.5000  0.5000
Ca  0.0000  0.0000  0.5006
Ca  0.0000  0.5000  0.0006
Mg  0.0000  0.2482  0.7457
Mg  0.0000  0.2518  0.2457
Mg  0.0000  0.7482  0.2457
Mg  0.0000  0.7518  0.7457
Mg  0.5000  0.0000  0.3243
Mg  0.5000  0.0000  0.8202
Mg  0.5000  0.2435  0.5907
Mg  0.5000  0.2565  0.0907
Mg  0.5000  0.5000  0.3202
Mg  0.5000  0.5000  0.8243
Mg  0.5000  0.7435  0.0907
Mg  0.5000  0.7565  0.5907

Top 10 peaks for 2θ from 15° to 90°, by angle:
- 2θ 16.3, d = 5.424 Å, intensity 14.8
- 2θ 22.2, d = 4.005 Å, intensity 18.6
- 2θ 29.2, d = 3.058 Å, intensity 29.0
- 2θ 33.0, d = 2.712 Å, intensity 34.2
- 2θ 33.6, d = 2.664 Å, intensity 100.0
- 2θ 34.4, d = 2.605 Å, intensity 45.5
- 2θ 44.7, d = 2.029 Å, intensity 17.3
- 2θ 52.9, d = 1.732 Å, intensity 18.5
- 2θ 59.4, d = 1.556 Å, intensity 18.2
- 2θ 63.8, d = 1.459 Å, intensity 17.9



Diffraction record for CaMg14V. The XRD peak list is computed, not measured: it uses DFT lattice parameters and positions (GGA-PBE) and Cu Kα.

Cell and atoms:
a b c (Å): 10.3661 6.4832 6.4832
angles (deg): 59.64 90.00 90.00
Sites, in units of the cell vectors:
Ca  0.0000  0.0000  0.0000
Mg  0.0000  0.0072  0.4973
Mg  0.0000  0.4973  0.0072
Mg  0.2408  0.6622  0.6622
Mg  0.2522  0.1739  0.6569
Mg  0.2522  0.6569  0.1739
Mg  0.2588  0.1678  0.1678
Mg  0.5000  0.4998  0.4998
Mg  0.5000  0.5014  0.9979
Mg  0.5000  0.9979  0.5014
Mg  0.5000  0.9986  0.9986
Mg  0.7412  0.1678  0.1678
Mg  0.7478  0.1739  0.6569
Mg  0.7478  0.6569  0.1739
Mg  0.7592  0.6622  0.6622
V  0.0000  0.4974  0.4974

Top 10 peaks for 2θ from 15° to 90°, by angle:
- 2θ 31.8, d = 2.812 Å, intensity 12.1
- 2θ 32.0, d = 2.797 Å, intensity 25.6
- 2θ 34.6, d = 2.592 Å, intensity 38.8
- 2θ 36.3, d = 2.472 Å, intensity 52.0
- 2θ 36.5, d = 2.462 Å, intensity 100.0
- 2θ 47.8, d = 1.901 Å, intensity 15.6
- 2θ 56.8, d = 1.621 Å, intensity 17.3
- 2θ 63.3, d = 1.470 Å, intensity 17.9
- 2θ 68.3, d = 1.374 Å, intensity 18.9
- 2θ 69.6, d = 1.350 Å, intensity 13.6



Diffraction record for CaMg14V. The XRD peak list is computed, not measured: it uses DFT lattice parameters and positions (GGA-PBE) and Cu Kα.

Cell and atoms:
a b c (Å): 6.4539 6.4539 10.3230
angles (deg): 90.00 90.00 120.00
Sites, in units of the cell vectors:
Ca  0.0000  0.0000  0.0000
Mg  0.0094  0.5047  0.0000
Mg  0.1659  0.3319  0.2622
Mg  0.1659  0.3319  0.7378
Mg  0.1659  0.8341  0.2622
Mg  0.1659  0.8341  0.7378
Mg  0.4953  0.5047  0.0000
Mg  0.4953  0.9906  0.0000
Mg  0.5004  0.0007  0.5000
Mg  0.5004  0.4996  0.5000
Mg  0.6667  0.3333  0.2442
Mg  0.6667  0.3333  0.7558
Mg  0.6681  0.8341  0.2622
Mg  0.6681  0.8341  0.7378
Mg  0.9993  0.4996  0.5000
V  0.0000  0.0000  0.5000

Top 10 peaks for 2θ from 15° to 90°, by angle:
- 2θ 15.9, d = 5.589 Å, intensity 5.1
- 2θ 23.5, d = 3.792 Å, intensity 3.7
- 2θ 32.0, d = 2.795 Å, intensity 24.9
- 2θ 34.8, d = 2.581 Å, intensity 25.0
- 2θ 36.6, d = 2.458 Å, intensity 100.0
- 2θ 48.0, d = 1.896 Å, intensity 14.8
- 2θ 57.1, d = 1.613 Å, intensity 17.1
- 2θ 63.5, d = 1.465 Å, intensity 17.0
- 2θ 68.6, d = 1.368 Å, intensity 18.3
- 2θ 69.7, d = 1.349 Å, intensity 13.4



Diffraction record for CaMg14W. The XRD peak list is computed, not measured: it uses DFT lattice parameters and positions (GGA-PBE) and Cu Kα.

Cell and atoms:
a b c (Å): 6.4104 6.4104 10.1725
angles (deg): 90.00 90.00 120.00
Sites, in units of the cell vectors:
Ca  0.0000  0.0000  0.0000
Mg  0.0088  0.5044  0.0000
Mg  0.1631  0.3263  0.2676
Mg  0.1631  0.3263  0.7324
Mg  0.1631  0.8369  0.2676
Mg  0.1631  0.8369  0.7324
Mg  0.4956  0.5044  0.0000
Mg  0.4956  0.9912  0.0000
Mg  0.5016  0.0032  0.5000
Mg  0.5016  0.4984  0.5000
Mg  0.6667  0.3333  0.2439
Mg  0.6667  0.3333  0.7561
Mg  0.6737  0.8369  0.2676
Mg  0.6737  0.8369  0.7324
Mg  0.9968  0.4984  0.5000
W  0.0000  0.0000  0.5000

Top 10 peaks for 2θ from 15° to 90°, by angle:
- 2θ 16.0, d = 5.552 Å, intensity 46.3
- 2θ 18.2, d = 4.873 Å, intensity 44.0
- 2θ 23.7, d = 3.750 Å, intensity 33.9
- 2θ 32.2, d = 2.776 Å, intensity 29.9
- 2θ 35.3, d = 2.543 Å, intensity 23.5
- 2θ 36.9, d = 2.437 Å, intensity 100.0
- 2θ 48.6, d = 1.875 Å, intensity 18.5
- 2θ 57.5, d = 1.603 Å, intensity 17.3
- 2θ 64.4, d = 1.447 Å, intensity 17.0
- 2θ 69.3, d = 1.356 Å, intensity 18.3



Diffraction record for CaMg14W. The XRD peak list is computed, not measured: it uses DFT lattice parameters and positions (GGA-PBE) and Cu Kα.

Cell and atoms:
a b c (Å): 10.1470 6.3907 6.3907
angles (deg): 60.45 90.00 90.00
Sites, in units of the cell vectors:
Ca  0.0000  0.0000  0.0000
Mg  0.0000  0.0041  0.4978
Mg  0.0000  0.4978  0.0041
Mg  0.2371  0.6604  0.6604
Mg  0.2465  0.1820  0.6549
Mg  0.2465  0.6549  0.1820
Mg  0.2582  0.1695  0.1695
Mg  0.5000  0.5004  0.5004
Mg  0.5000  0.5034  0.9968
Mg  0.5000  0.9968  0.5034
Mg  0.5000  0.9984  0.9984
Mg  0.7418  0.1695  0.1695
Mg  0.7535  0.1820  0.6549
Mg  0.7535  0.6549  0.1820
Mg  0.7629  0.6604  0.6604
W  0.0000  0.4934  0.4934

Top 10 peaks for 2θ from 15° to 90°, by angle:
- 2θ 15.9, d = 5.560 Å, intensity 31.6
- 2θ 16.1, d = 5.522 Å, intensity 22.3
- 2θ 18.2, d = 4.865 Å, intensity 74.5
- 2θ 23.8, d = 3.742 Å, intensity 34.9
- 2θ 31.0, d = 2.887 Å, intensity 18.6
- 2θ 32.2, d = 2.780 Å, intensity 27.8
- 2θ 35.4, d = 2.537 Å, intensity 35.5
- 2θ 36.9, d = 2.438 Å, intensity 100.0
- 2θ 37.1, d = 2.425 Å, intensity 46.2
- 2θ 64.5, d = 1.445 Å, intensity 20.0



Diffraction record for CaYMg14. The XRD peak list is computed, not measured: it uses DFT lattice parameters and positions (GGA-PBE) and Cu Kα.

Cell and atoms:
a b c (Å): 10.5311 6.6026 6.6026
angles (deg): 59.95 90.00 90.00
Sites, in units of the cell vectors:
Ca  0.0000  0.0000  0.0000
Y  0.0000  0.4986  0.4986
Mg  0.0000  0.0016  0.5061
Mg  0.0000  0.5061  0.0016
Mg  0.2524  0.6693  0.6693
Mg  0.2542  0.1714  0.1714
Mg  0.2587  0.1686  0.6638
Mg  0.2587  0.6638  0.1686
Mg  0.5000  0.0012  0.5009
Mg  0.5000  0.0023  0.0023
Mg  0.5000  0.5009  0.0012
Mg  0.5000  0.5024  0.5024
Mg  0.7413  0.1686  0.6638
Mg  0.7413  0.6638  0.1686
Mg  0.7458  0.1714  0.1714
Mg  0.7476  0.6693  0.6693

Top 10 peaks for 2θ from 15° to 90°, by angle:
- 2θ 15.5, d = 5.717 Å, intensity 7.9
- 2θ 17.7, d = 5.025 Å, intensity 12.0
- 2θ 31.3, d = 2.858 Å, intensity 25.9
- 2θ 34.1, d = 2.633 Å, intensity 25.1
- 2θ 35.7, d = 2.512 Å, intensity 100.0
- 2θ 46.9, d = 1.936 Å, intensity 16.0
- 2θ 55.7, d = 1.650 Å, intensity 17.4
- 2θ 62.1, d = 1.496 Å, intensity 18.9
- 2θ 66.9, d = 1.398 Å, intensity 19.1
- 2θ 68.0, d = 1.379 Å, intensity 13.8



Diffraction record for CaYMg14. The XRD peak list is computed, not measured: it uses DFT lattice parameters and positions (GGA-PBE) and Cu Kα.

Cell and atoms:
a b c (Å): 6.6160 6.6160 10.4535
angles (deg): 90.00 90.00 120.00
Sites, in units of the cell vectors:
Ca  0.0000  0.0000  0.0000
Y  0.0000  0.0000  0.5000
Mg  0.0046  0.5023  0.0000
Mg  0.0065  0.5032  0.5000
Mg  0.1699  0.3398  0.2514
Mg  0.1699  0.3398  0.7486
Mg  0.1699  0.8301  0.2514
Mg  0.1699  0.8301  0.7486
Mg  0.4968  0.5032  0.5000
Mg  0.4968  0.9935  0.5000
Mg  0.4977  0.5023  0.0000
Mg  0.4977  0.9954  0.0000
Mg  0.6602  0.8301  0.2514
Mg  0.6602  0.8301  0.7486
Mg  0.6667  0.3333  0.2500
Mg  0.6667  0.3333  0.7500

Top 10 peaks for 2θ from 15° to 90°, by angle:
- 2θ 15.5, d = 5.730 Å, intensity 13.6
- 2θ 23.0, d = 3.861 Å, intensity 12.7
- 2θ 31.2, d = 2.865 Å, intensity 26.0
- 2θ 34.3, d = 2.613 Å, intensity 24.7
- 2θ 35.7, d = 2.512 Å, intensity 100.0
- 2θ 47.1, d = 1.931 Å, intensity 15.9
- 2θ 55.6, d = 1.654 Å, intensity 17.4
- 2θ 62.4, d = 1.489 Å, intensity 18.3
- 2θ 67.0, d = 1.398 Å, intensity 19.2
- 2θ 67.8, d = 1.381 Å, intensity 13.9